(1)
For CaP2PdO7, a structure optimized by DFT (GGA-PBE) gives the computed powder XRD pattern in this record (Cu Kα (λ = 1.5418 Å)).
Lines closer than 0.1° are merged.

Peak list (12 most intense, 10 to 80 degrees two-theta, sorted by position)
2θ/deg  I/Imax
13.51  47
13.86  93
23.50  29
23.71  62
27.93  40
32.85  44
33.00  100
33.47  33
36.82  35
48.06  24
48.53  28
60.32  27

Structural model:
Lattice parameters (Å, degrees): 13.1129 5.9968 7.3159 90.00 90.00 90.00
Sites, in units of the cell vectors:
Ca 0.2502 0.2500 0.2498
Ca 0.2498 0.7500 0.7498
Ca 0.7502 0.2500 0.2502
Ca 0.7498 0.7500 0.7502
P 0.1097 0.2500 0.6888
P 0.1103 0.7500 0.3105
P 0.3897 0.2500 0.8105
P 0.3903 0.7500 0.1888
P 0.6097 0.2500 0.8112
P 0.6103 0.7500 0.1895
P 0.8897 0.2500 0.6895
P 0.8903 0.7500 0.3112
Pd 0.0000 0.0000 0.0000
Pd 0.0000 0.5000 0.0000
Pd 0.5000 0.0000 0.5000
Pd 0.5000 0.5000 0.5000
O 0.9996 0.2500 0.5882
O 0.0004 0.7500 0.4118
O 0.1132 0.0328 0.8064
O 0.1132 0.4672 0.8064
O 0.1136 0.5328 0.1928
O 0.1136 0.9672 0.1928
O 0.1908 0.2500 0.5453
O 0.1916 0.7500 0.4535
O 0.3084 0.2500 0.9535
O 0.3092 0.7500 0.0453
O 0.3864 0.0328 0.6928
O 0.3864 0.4672 0.6928
O 0.3868 0.5327 0.3064
O 0.3868 0.9672 0.3064
O 0.4996 0.2500 0.9118
O 0.5004 0.7500 0.0882
O 0.6132 0.0328 0.6936
O 0.6132 0.4672 0.6936
O 0.6136 0.5328 0.3072
O 0.6136 0.9672 0.3072
O 0.6908 0.2500 0.9547
O 0.6916 0.7500 0.0465
O 0.8084 0.2500 0.5465
O 0.8092 0.7500 0.4547
O 0.8864 0.0328 0.8072
O 0.8864 0.4672 0.8072
O 0.8868 0.5327 0.1936
O 0.8868 0.9672 0.1936

***

(2)
For TbPm6Pr2Nd, a structure optimized by DFT (GGA-PBE) gives the computed powder XRD pattern in this record (Cu Kα (λ = 1.5418 Å)).
Lines closer than 0.1° are merged.

Peak list (12 most intense, 10 to 80 degrees two-theta, sorted by position)
2θ/deg  I/Imax
28.03  55
29.51  64
30.01  86
30.73  75
30.89  56
31.16  100
31.59  27
32.47  81
32.98  23
49.16  20
51.37  20
59.11  19

Structural model:
Lattice parameters (Å, degrees): 8.9510 8.9510 10.0174 94.89 94.89 118.17
Sites, in units of the cell vectors:
Tb 0.0163 0.9837 0.7500
Tb 0.9837 0.0163 0.2500
Pm 0.0233 0.5784 0.6881
Pm 0.1211 0.7452 0.0564
Pm 0.2548 0.8789 0.4436
Pm 0.2942 0.4989 0.8790
Pm 0.4216 0.9767 0.8119
Pm 0.4989 0.2942 0.3790
Pm 0.5011 0.7058 0.6210
Pm 0.5784 0.0233 0.1881
Pm 0.7058 0.5011 0.1210
Pm 0.7452 0.1211 0.5564
Pm 0.8789 0.2548 0.9436
Pm 0.9767 0.4216 0.3119
Pr 0.1875 0.2896 0.5409
Pr 0.2896 0.1875 0.0409
Pr 0.7104 0.8125 0.9591
Pr 0.8125 0.7104 0.4591
Nd 0.4052 0.5948 0.2500
Nd 0.5948 0.4052 0.7500

***

(3)
For AcSm2USe8, a structure optimized by DFT (GGA-PBE) gives the computed powder XRD pattern in this record (Cu Kα (λ = 1.5418 Å)).
Lines closer than 0.1° are merged.

Peak list (12 most intense, 10 to 80 degrees two-theta, sorted by position)
2θ/deg  I/Imax
19.24  61
19.61  75
24.18  100
27.33  41
27.70  31
31.00  23
36.61  36
36.93  82
37.02  27
37.34  71
40.07  36
46.36  30

Structural model:
Lattice parameters (Å, degrees): 6.3990 6.5266 9.0004 90.00 90.16 91.08
Sites, in units of the cell vectors:
Ac 0.0000 0.0000 0.0000
Sm 0.4984 0.4992 0.7392
Sm 0.5016 0.5008 0.2608
U 0.0000 0.0000 0.5000
Se 0.2281 0.4454 0.0002
Se 0.2337 0.3517 0.4986
Se 0.2519 0.8753 0.2803
Se 0.2537 0.8775 0.7208
Se 0.7463 0.1225 0.2792
Se 0.7481 0.1247 0.7197
Se 0.7663 0.6483 0.5014
Se 0.7719 0.5546 0.9998